Simulated powder diffraction line list
Compound: NiPS3
Radiation: Cu Kα (weighted mean of Kα1 and Kα2)
Structure: a PBE-relaxed structure
Intensities are scaled so that the largest is 100.

Principal peaks in the range 2θ from 10° to 90°, by angle:
2θ = 13.37°, I = 100, (0 0 1); 2θ = 31.06°, I = 34, (2 0 -1); 2θ = 35.76°, I = 80, (2 0 -2); 2θ = 48.17°, I = 19, (1 3 -3); 2θ = 54.62°, I = 28, (0 6 0); 2θ = 56.50°, I = 12, (3 3 0)

Structure:
```
data_NiPS3
_chemical_formula_sum 'Ni4 P4 S12'
_cell_length_a 5.8195
_cell_length_b 10.0840
_cell_length_c 6.8959
_cell_angle_alpha 90.00
_cell_angle_beta 106.22
_cell_angle_gamma 90.00
_symmetry_space_group_name_H-M 'C 1 2/m 1'
_symmetry_Int_Tables_number 12
loop_
_symmetry_equiv_pos_as_xyz
'x,y,z'
'-x,-y,-z'
'-x,y,-z'
'x,-y,z'
'x+1/2,y+1/2,z'
'-x+1/2,-y+1/2,-z'
'-x+1/2,y+1/2,-z'
'x+1/2,-y+1/2,z'
loop_
_atom_site_label
_atom_site_fract_x
_atom_site_fract_y
_atom_site_fract_z
Ni1 0.0000 0.1669 0.0000
P1 0.0552 0.5000 0.1649
S1 0.2305 0.0000 0.2293
S2 0.2492 0.3271 0.2292
```